Starting from a crystal structure in Alexandria, relaxed with PBE, the powder diffraction line list of Ti3VSi was calculated for λ = 1.5418 Å (Cu Kα).
Kinematic intensities with the Lorentz-polarization factor, no thermal factor.

```
data_Ti3VSi
_chemical_formula_sum 'Ti6 V2 Si2'
_space_group_name_H-M_alt 'P m m n'
_space_group_IT_number 59
_cell_length_a 4.1896
_cell_length_b 5.4251
_cell_length_c 7.2654
_cell_angle_alpha 90.00
_cell_angle_beta 90.00
_cell_angle_gamma 90.00
loop_
_space_group_symop_operation_xyz
'x,y,z'
'-x,-y,-z'
'-x+1/2,-y+1/2,z'
'x+1/2,y+1/2,-z'
'x+1/2,-y,-z'
'-x+1/2,y,z'
'-x,y+1/2,-z'
'x,-y+1/2,z'
loop_
_atom_site_label
_atom_site_type_symbol
_atom_site_fract_x
_atom_site_fract_y
_atom_site_fract_z
Ti1 Ti 0.2500 0.0059 0.2196
Ti2 Ti 0.2500 0.7500 0.5761
V1 V 0.2500 0.7500 0.9219
Si1 Si 0.2500 0.2500 0.6349
```

The 8 most intense peaks (2θ = 10–90°), by angle:
- (1 1 0), 26.89 deg, I = 21
- (1 0 2), 32.63 deg, I = 11
- (1 1 2), 36.70 deg, I = 16
- (1 2 1), 41.56 deg, I = 100
- (2 0 0), 43.16 deg, I = 78
- (2 2 2), 61.46 deg, I = 24
- (2 2 4), 78.03 deg, I = 10
- (2 4 0), 85.23 deg, I = 18